(1)
Sr2MgCrO4: theoretical XRD peak list (copper Kα), based on DFT lattice parameters and positions (PBE+U).

Atomic structure:
Lattice parameters (Å, degrees): 3.890 3.890 15.998 90.00 90.00 90.00
Element x y z (fractional)
Sr (0.000, 0.000, 0.107)
Sr (0.000, 0.000, 0.893)
Sr (0.500, 0.500, 0.393)
Sr (0.500, 0.500, 0.607)
Mg (0.000, 0.500, 0.250)
Mg (0.500, 0.000, 0.750)
Cr (0.000, 0.000, 0.500)
Cr (0.500, 0.500, 0.000)
O (0.000, 0.000, 0.308)
O (0.000, 0.000, 0.692)
O (0.000, 0.500, 0.006)
O (0.000, 0.500, 0.494)
O (0.500, 0.000, 0.506)
O (0.500, 0.000, 0.994)
O (0.500, 0.500, 0.192)
O (0.500, 0.500, 0.808)

Peak list (12 most intense, 2θ from 10° to 90°, most intense first)
| Position (°2θ) | I (rel.) | hkl |
| --- | --- | --- |
| 36.36 | 100 | 1 0 5 |
| 32.56 | 42 | 1 1 0 |
| 60.59 | 41 | 2 1 5 |
| 11.06 | 39 | 0 0 2 |
| 46.71 | 36 | 2 0 0 |
| 28.40 | 30 | 1 0 3 |
| 39.77 | 30 | 1 1 4 |
| 23.54 | 26 | 1 0 1 |
| 67.76 | 13 | 1 1 10 |
| 68.19 | 10 | 2 2 0 |
| 56.95 | 10 | 1 0 9 |
| 55.57 | 10 | 2 1 3 |


(2)
MgMn6O4F8: theoretical XRD peak list (copper Kα), based on DFT lattice parameters and positions (PBE+U).

Atomic structure:
Lattice parameters (Å, degrees): 5.303 5.678 8.038 88.82 84.54 84.61
Element x y z (fractional)
Mg (0.000, 0.000, 0.000)
Mn (0.014, 0.410, 0.199)
Mn (0.471, 0.177, 0.830)
Mn (0.476, 0.877, 0.186)
Mn (0.503, 0.558, 0.503)
Mn (0.882, 0.563, 0.751)
Mn (0.936, 0.041, 0.518)
O (0.288, 0.160, 0.069)
O (0.661, 0.575, 0.288)
O (0.705, 0.295, 0.620)
O (0.721, 0.802, 0.593)
F (0.140, 0.011, 0.757)
F (0.166, 0.295, 0.431)
F (0.170, 0.694, 0.069)
F (0.222, 0.807, 0.419)
F (0.278, 0.518, 0.723)
F (0.706, 0.844, 0.939)
F (0.813, 0.327, 0.953)
F (0.819, 0.057, 0.242)

Peak list (12 most intense, 2θ from 10° to 90°, most intense first)
| Position (°2θ) | I (rel.) | hkl |
| --- | --- | --- |
| 27.22 | 100 | -1 1 1 |
| 23.86 | 66 | 1 1 1 |
| 32.06 | 52 | 1 -1 2 |
| 32.75 | 40 | 1 1 -2 |
| 37.04 | 31 | 2 1 1 |
| 56.69 | 27 | 0 2 -4 |
| 39.28 | 25 | 1 0 -3 |
| 33.76 | 23 | 0 2 -1 |
| 30.15 | 22 | 1 1 2 |
| 19.12 | 20 | 0 1 1 |
| 56.19 | 20 | -2 2 2 |
| 48.85 | 19 | 2 2 2 |


(3)
FeW2O8: theoretical XRD peak list (copper Kα), based on DFT lattice parameters and positions (PBE+U).

Atomic structure:
Lattice parameters (Å, degrees): 5.080 5.863 10.678 90.00 117.59 90.00
Element x y z (fractional)
Fe (0.000, 0.159, 0.250)
Fe (0.000, 0.841, 0.750)
W (0.243, 0.327, 0.994)
W (0.243, 0.673, 0.494)
W (0.757, 0.327, 0.506)
W (0.757, 0.673, 0.006)
O (0.167, 0.396, 0.609)
O (0.167, 0.604, 0.109)
O (0.218, 0.164, 0.137)
O (0.218, 0.836, 0.637)
O (0.243, 0.098, 0.880)
O (0.243, 0.902, 0.380)
O (0.317, 0.391, 0.394)
O (0.317, 0.609, 0.894)
O (0.683, 0.391, 0.106)
O (0.683, 0.609, 0.606)
O (0.757, 0.098, 0.620)
O (0.757, 0.902, 0.120)
O (0.782, 0.164, 0.363)
O (0.782, 0.836, 0.863)
O (0.833, 0.396, 0.891)
O (0.833, 0.604, 0.391)

Peak list (12 most intense, 2θ from 10° to 90°, most intense first)
| Position (°2θ) | I (rel.) | hkl |
| --- | --- | --- |
| 18.75 | 100 | 0 0 2 |
| 23.17 | 98 | 1 1 -1 |
| 29.81 | 88 | 1 1 1 |
| 30.13 | 85 | 1 1 -3 |
| 35.35 | 64 | 2 0 -2 |
| 24.17 | 52 | 0 1 2 |
| 15.11 | 35 | 0 1 0 |
| 40.44 | 34 | 1 2 -3 |
| 63.40 | 29 | 3 2 -3 |
| 50.53 | 28 | 0 3 2 |
| 40.05 | 25 | 2 0 0 |
| 53.10 | 23 | 1 2 -5 |